This entry pairs a crystal structure of Pm2NdErBi5 with its simulated powder XRD pattern. Radiation: copper Kα. Structure: the PBE geometry in Alexandria.

Most intense lines, 2θ = 15–90°, in order of rising 2θ:
| 2theta | Rel. int. | (hkl) |
| --- | --- | --- |
| 22.6 | 59.5 | 1 1 0 |
| 23.8 | 59.0 | 1 1 1 |
| 27.1 | 39.3 | 1 1 2 |
| 30.0 | 54.9 | 0 0 4 |
| 32.0 | 38.5 | 1 1 3 |
| 32.1 | 100.0 | 2 0 0 |
| 37.9 | 26.7 | 1 1 4 |
| 44.5 | 85.0 | 2 0 4 |
| 46.1 | 37.5 | 2 2 0 |
| 56.0 | 39.2 | 2 2 4 |
| 76.4 | 20.8 | 4 2 0 |
| 84.3 | 27.2 | 4 2 4 |

Cell and atoms:
```
Pm2NdErBi5
1.0
5.5713 0.0000 0.0000
0.0000 5.5713 0.0000
0.0000 0.0000 11.9077
Pm Nd Er Bi
2 1 1 5
direct
0.0000 0.0000 0.2248 Pm
0.0000 0.0000 0.7752 Pm
0.5000 0.5000 0.0000 Nd
0.5000 0.5000 0.5000 Er
0.0000 0.0000 0.5000 Bi
0.0000 0.5000 0.0000 Bi
0.5000 0.0000 0.0000 Bi
0.5000 0.5000 0.2578 Bi
0.5000 0.5000 0.7422 Bi
```

***

This entry pairs a crystal structure of NaPbAuSe2 with its simulated powder XRD pattern. Radiation: copper Kα. Structure: the PBE geometry in Alexandria.

Most intense lines, 2θ = 15–90°, in order of rising 2θ:
| 2theta | Rel. int. | (hkl) |
| --- | --- | --- |
| 18.0 | 68.0 | 0 1 0 |
| 23.7 | 100.0 | 1 0 -2 |
| 24.7 | 36.5 | 2 0 0 |
| 25.8 | 81.8 | 1 1 1 |
| 29.9 | 64.8 | 1 1 -2 |
| 30.7 | 55.0 | 2 1 0 |
| 33.5 | 57.1 | 1 1 2 |
| 34.6 | 28.8 | 2 1 1 |
| 38.6 | 31.2 | 1 2 0 |
| 38.9 | 25.1 | 1 1 -3 |
| 41.4 | 25.0 | 3 1 -1 |
| 61.1 | 26.7 | 0 3 2 |

Cell and atoms:
```
NaPbAuSe2
1.0
7.3453 0.0000 0.0000
0.0000 4.9343 0.0000
-1.5621 0.0000 7.8218
Na Pb Au Se
2 2 2 4
direct
0.0000 0.0108 0.2500 Na
0.0000 0.9892 0.7500 Na
0.5000 0.3479 0.7500 Pb
0.5000 0.6521 0.2500 Pb
0.0000 0.5000 0.0000 Au
0.0000 0.5000 0.5000 Au
0.2824 0.2232 0.0462 Se
0.2824 0.7768 0.5462 Se
0.7176 0.2232 0.4538 Se
0.7176 0.7768 0.9538 Se
```

***

This entry pairs a crystal structure of MgTe2BrN with its simulated powder XRD pattern. Radiation: copper Kα. Structure: the PBE geometry in Alexandria.

Most intense lines, 2θ = 15–90°, in order of rising 2θ:
| 2theta | Rel. int. | (hkl) |
| --- | --- | --- |
| 21.6 | 19.6 | 1 1 0 |
| 22.8 | 17.6 | 0 0 1 |
| 27.5 | 12.5 | 1 0 1 |
| 30.7 | 72.9 | 2 0 0 |
| 31.6 | 100.0 | 1 1 1 |
| 38.6 | 18.2 | 2 0 1 |
| 44.0 | 26.5 | 2 2 0 |
| 46.5 | 11.2 | 0 0 2 |
| 55.2 | 39.7 | 3 1 1 |
| 56.8 | 24.4 | 2 0 2 |
| 66.0 | 15.4 | 2 2 2 |
| 72.7 | 12.2 | 4 2 0 |

Cell and atoms:
```
MgTe2BrN
1.0
5.8183 0.0000 0.0000
0.0000 5.8183 0.0000
0.0000 0.0000 3.9025
Mg Te Br N
1 2 1 1
direct
0.0000 0.0000 0.0000 Mg
0.0000 0.5000 0.0000 Te
0.5000 0.0000 0.0000 Te
0.5000 0.5000 0.5000 Br
0.0000 0.0000 0.5000 N
```